[1]
For AlZnIn, a structure optimized by DFT (PBE) gives the theoretical powder diffraction line list in this record (Cu Kα (weighted mean of Kα1 and Kα2)).
No peak broadening, texture or thermal motion is included.

Largest 10 diffraction maxima, low angle first, 10° ≤ 2θ ≤ 90°:
(0 1 0), 2θ = 15.02°, I 26.2
(1 0 -1), 2θ = 27.17°, I 77.5
(0 2 0), 2θ = 30.30°, I 44.3
(1 1 -1), 2θ = 31.18°, I 46.2
(1 1 1), 2θ = 31.36°, I 100.0
(0 2 1), 2θ = 35.79°, I 41.5
(0 1 2), 2θ = 40.78°, I 43.5
(1 2 -1), 2θ = 41.14°, I 36.8
(1 2 1), 2θ = 41.29°, I 33.6
(2 1 0), 2θ = 43.11°, I 78.2

Structural model:
Cell: 4.490 5.899 4.774 Å, 90.00 90.42 90.00°
Space group P2 (No. 3)
One atom of each set of equivalent atoms:
Al 0.247 0.000 0.342 (multiplicity 2)
Zn 0.251 0.205 0.849 (multiplicity 2)
In 0.000 0.554 0.500 (multiplicity 1)
In 0.500 0.638 0.000 (multiplicity 1)

***

[2]
For AlZnIn, a structure optimized by DFT (PBE) gives the theoretical powder diffraction line list in this record (Cu Kα (weighted mean of Kα1 and Kα2)).
No peak broadening, texture or thermal motion is included.

Largest 10 diffraction maxima, low angle first, 10° ≤ 2θ ≤ 90°:
(1 1 0), 2θ = 27.93°, I 97.9
(1 -1 0), 2θ = 28.82°, I 71.4
(0 1 2), 2θ = 31.37°, I 85.7
(1 0 2), 2θ = 32.92°, I 100.0
(1 -1 1), 2θ = 33.33°, I 95.9
(1 1 -1), 2θ = 38.30°, I 59.7
(1 2 1), 2θ = 39.17°, I 57.7
(0 2 2), 2θ = 41.30°, I 64.1
(2 0 0), 2θ = 42.32°, I 68.4
(2 1 2), 2θ = 44.19°, I 57.8

Structural model:
Cell: 4.512 4.994 6.244 Å, 68.61 71.31 81.72°
Space group P-1 (No. 2)
One atom of each set of equivalent atoms:
Al 0.205 0.149 0.028 (multiplicity 2)
Zn 0.263 0.580 0.165 (multiplicity 2)
In 0.286 0.761 0.553 (multiplicity 2)

***

[3]
For Al6Zn12In, a structure optimized by DFT (PBE) gives the theoretical powder diffraction line list in this record (Cu Kα (weighted mean of Kα1 and Kα2)).
No peak broadening, texture or thermal motion is included.

Largest 10 diffraction maxima, low angle first, 10° ≤ 2θ ≤ 90°:
(0 1 2), 2θ = 22.44°, I 20.7
(1 3 1), 2θ = 33.76°, I 100.0
(1 1 3), 2θ = 34.83°, I 44.1
(3 2 1), 2θ = 40.46°, I 25.2
(0 3 3), 2θ = 41.37°, I 31.5
(2 3 2), 2θ = 44.53°, I 37.2
(0 2 4), 2θ = 45.80°, I 21.6
(2 4 1), 2θ = 49.07°, I 17.8
(5 0 2), 2θ = 50.03°, I 35.7
(3 5 4), 2θ = 80.29°, I 17.6

Structural model:
Cell: 11.6162 11.6162 8.6223 Å, 90.00 90.00 120.00°
Space group R-3m (No. 166, hexagonal axes)
One atom of each set of equivalent atoms:
Al 0.0705 0.5353 0.2283 (multiplicity 18)
Zn 0.0000 0.3900 0.5000 (multiplicity 18)
Zn 0.0815 0.1629 0.2700 (multiplicity 18)
In 0.0000 0.0000 0.0000 (multiplicity 3)

***

[4]
For ZrAlIn2, a structure optimized by DFT (PBE) gives the theoretical powder diffraction line list in this record (Cu Kα (weighted mean of Kα1 and Kα2)).
No peak broadening, texture or thermal motion is included.

Largest 10 diffraction maxima, low angle first, 10° ≤ 2θ ≤ 90°:
(0 0 1), 2θ = 20.03°, I 10.5
(1 1 0), 2θ = 29.04°, I 8.7
(1 1 1), 2θ = 35.53°, I 100.0
(0 0 2), 2θ = 40.71°, I 17.0
(2 0 0), 2θ = 41.53°, I 32.1
(2 0 2), 2θ = 59.56°, I 21.4
(2 2 0), 2θ = 60.19°, I 10.4
(1 1 3), 2θ = 70.74°, I 12.6
(3 1 1), 2θ = 71.89°, I 24.1
(2 2 2), 2θ = 75.22°, I 10.6

Structural model:
Cell: 4.348 4.348 4.433 Å, 90.00 90.00 90.00°
Space group P4/mmm (No. 123)
One atom of each set of equivalent atoms:
Zr 0.000 0.000 0.000 (multiplicity 1)
Al 0.500 0.500 0.000 (multiplicity 1)
In 0.000 0.500 0.500 (multiplicity 2)

***

[5]
For Al13Ir2, a structure optimized by DFT (PBE) gives the theoretical powder diffraction line list in this record (Cu Kα (weighted mean of Kα1 and Kα2)).
No peak broadening, texture or thermal motion is included.

Largest 10 diffraction maxima, low angle first, 10° ≤ 2θ ≤ 90°:
(0 0 1), 2θ = 11.08°, I 100.0
(1 0 1), 2θ = 20.81°, I 26.5
(0 1 -1), 2θ = 21.51°, I 26.5
(1 1 0), 2θ = 21.79°, I 37.2
(1 1 1), 2θ = 21.91°, I 36.6
(0 1 2), 2θ = 22.45°, I 30.2
(-1 1 1), 2θ = 25.38°, I 28.2
(0 1 -2), 2θ = 30.92°, I 25.1
(1 3 1), 2θ = 44.99°, I 32.9
(0 0 4), 2θ = 45.41°, I 28.1

Structural model:
Cell: 5.039 6.290 8.474 Å, 70.53 85.99 81.44°
Space group P-1 (No. 2)
One atom of each set of equivalent atoms:
Al 0.000 0.000 0.000 (multiplicity 1)
Al 0.028 0.482 0.669 (multiplicity 2)
Al 0.240 0.034 0.587 (multiplicity 2)
Al 0.246 0.614 0.922 (multiplicity 2)
Al 0.270 0.203 0.196 (multiplicity 2)
Al 0.468 0.198 0.877 (multiplicity 2)
Al 0.485 0.409 0.372 (multiplicity 2)
Ir 0.244 0.800 0.379 (multiplicity 2)

***

[6]
For Al7Ir3, a structure optimized by DFT (PBE) gives the theoretical powder diffraction line list in this record (Cu Kα (weighted mean of Kα1 and Kα2)).
No peak broadening, texture or thermal motion is included.

Largest 10 diffraction maxima, low angle first, 10° ≤ 2θ ≤ 90°:
(2 0 0), 2θ = 20.26°, I 42.6
(2 1 1), 2θ = 24.88°, I 90.3
(3 1 0), 2θ = 32.29°, I 22.3
(2 2 2), 2θ = 35.47°, I 16.9
(3 3 0), 2θ = 43.82°, I 100.0
(3 3 2), 2θ = 48.72°, I 17.1
(4 2 2), 2θ = 51.04°, I 18.4
(6 0 0), 2θ = 63.70°, I 21.0
(5 4 1), 2θ = 69.49°, I 14.3
(6 3 3), 2θ = 80.52°, I 33.4

Structural model:
Cell: 8.766 8.766 8.766 Å, 90.00 90.00 90.00°
Space group Im-3m (No. 229)
One atom of each set of equivalent atoms:
Al 0.000 0.250 0.500 (multiplicity 12)
Al 0.155 0.155 0.155 (multiplicity 16)
Ir 0.000 0.000 0.342 (multiplicity 12)

***

Number 4 is which compound?
ZrAlIn2